[1]
For LiFe4B4O12, a cell relaxed with GGA+U gives the theoretical powder XRD pattern in this record (CuKα).

Peak list (10 most intense, 10° ≤ 2θ ≤ 90°, sorted by position)
two_theta	intensity
19.75	88
21.46	100
21.63	64
26.06	38
26.19	42
26.47	59
34.27	36
34.48	35
35.48	96
49.48	46

Structural model:
Unit cell a=5.298 b=8.993 c=11.347 alpha=66.73 beta=77.13 gamma=89.60
Space group P1 (No. 1)
One atom of each set of equivalent atoms:
Li (0.000, 0.000, 0.000) [1 per cell]
Li (0.080, 0.388, 0.250) [1 per cell]
Fe (0.031, 0.680, 0.969) [1 per cell]
Fe (0.092, 0.060, 0.221) [1 per cell]
Fe (0.281, 0.605, 0.473) [1 per cell]
Fe (0.331, 0.983, 0.720) [1 per cell]
Fe (0.528, 0.187, 0.968) [1 per cell]
Fe (0.586, 0.559, 0.221) [1 per cell]
Fe (0.778, 0.103, 0.475) [1 per cell]
Fe (0.829, 0.481, 0.722) [1 per cell]
B (0.028, 0.349, 0.973) [1 per cell]
B (0.089, 0.727, 0.217) [1 per cell]
B (0.288, 0.940, 0.471) [1 per cell]
B (0.326, 0.319, 0.718) [1 per cell]
B (0.548, 0.850, 0.967) [1 per cell]
B (0.568, 0.223, 0.225) [1 per cell]
B (0.789, 0.441, 0.471) [1 per cell]
B (0.828, 0.817, 0.719) [1 per cell]
O (0.049, 0.815, 0.770) [1 per cell]
O (0.066, 0.989, 0.421) [1 per cell]
O (0.122, 0.194, 0.023) [1 per cell]
O (0.138, 0.476, 0.987) [1 per cell]
O (0.210, 0.464, 0.674) [1 per cell]
O (0.216, 0.177, 0.725) [1 per cell]
O (0.287, 0.681, 0.280) [1 per cell]
O (0.308, 0.860, 0.926) [1 per cell]
O (0.389, 0.802, 0.477) [1 per cell]
O (0.398, 0.044, 0.517) [1 per cell]
O (0.444, 0.353, 0.228) [1 per cell]
O (0.465, 0.114, 0.185) [1 per cell]
O (0.551, 0.317, 0.760) [1 per cell]
O (0.560, 0.481, 0.432) [1 per cell]
O (0.657, 0.702, 0.007) [1 per cell]
O (0.664, 0.983, 0.967) [1 per cell]
O (0.716, 0.967, 0.674) [1 per cell]
O (0.730, 0.686, 0.712) [1 per cell]
O (0.807, 0.191, 0.267) [1 per cell]
O (0.823, 0.365, 0.914) [1 per cell]
O (0.903, 0.536, 0.519) [1 per cell]
O (0.906, 0.310, 0.453) [1 per cell]
O (0.990, 0.620, 0.172) [1 per cell]
O (0.994, 0.876, 0.192) [1 per cell]

[2]
For MgFe6O7F5, a cell relaxed with GGA+U gives the theoretical powder XRD pattern in this record (CuKα).

Peak list (10 most intense, 10° ≤ 2θ ≤ 90°, sorted by position)
two_theta	intensity
23.40	96
27.09	100
34.71	49
34.99	26
35.15	21
35.39	31
38.07	25
49.92	22
61.94	21
62.79	20

Structural model:
Unit cell a=5.782 b=5.969 c=7.699 alpha=108.00 beta=97.68 gamma=111.77
Space group P1 (No. 1)
One atom of each set of equivalent atoms:
Mg (0.000, 0.000, 0.000) [1 per cell]
Fe (0.009, 0.512, 0.027) [1 per cell]
Fe (0.031, 0.932, 0.488) [1 per cell]
Fe (0.383, 0.562, 0.349) [1 per cell]
Fe (0.386, 0.960, 0.814) [1 per cell]
Fe (0.616, 0.072, 0.221) [1 per cell]
Fe (0.686, 0.462, 0.659) [1 per cell]
O (0.120, 0.682, 0.323) [1 per cell]
O (0.279, 0.867, 0.030) [1 per cell]
O (0.389, 0.164, 0.660) [1 per cell]
O (0.595, 0.371, 0.389) [1 per cell]
O (0.675, 0.864, 0.358) [1 per cell]
O (0.734, 0.146, 0.004) [1 per cell]
O (0.988, 0.824, 0.709) [1 per cell]
F (0.066, 0.175, 0.303) [1 per cell]
F (0.283, 0.353, 0.061) [1 per cell]
F (0.440, 0.667, 0.641) [1 per cell]
F (0.735, 0.647, 0.948) [1 per cell]
F (0.936, 0.335, 0.722) [1 per cell]

[3]
For Li9Mn2Co5O16, a cell relaxed with GGA+U gives the theoretical powder XRD pattern in this record (CuKα).

Peak list (10 most intense, 10° ≤ 2θ ≤ 90°, sorted by position)
two_theta	intensity
18.43	100
35.00	18
36.79	23
42.00	31
44.68	25
44.78	25
62.74	7
62.97	7
63.18	15
65.74	7

Structural model:
Unit cell a=5.934 b=6.448 c=7.879 alpha=88.66 beta=76.14 gamma=75.14
Space group P1 (No. 1)
One atom of each set of equivalent atoms:
Li (0.000, 0.000, 0.000) [1 per cell]
Li (0.001, 0.503, 0.492) [1 per cell]
Li (0.126, 0.372, 0.125) [1 per cell]
Li (0.249, 0.240, 0.756) [1 per cell]
Li (0.373, 0.125, 0.368) [1 per cell]
Li (0.498, 0.003, 0.000) [1 per cell]
Li (0.629, 0.875, 0.624) [1 per cell]
Li (0.760, 0.759, 0.244) [1 per cell]
Li (0.878, 0.632, 0.877) [1 per cell]
Mn (0.370, 0.631, 0.874) [1 per cell]
Mn (0.757, 0.250, 0.750) [1 per cell]
Co (0.133, 0.880, 0.627) [1 per cell]
Co (0.242, 0.753, 0.244) [1 per cell]
Co (0.507, 0.503, 0.497) [1 per cell]
Co (0.624, 0.371, 0.123) [1 per cell]
Co (0.875, 0.125, 0.366) [1 per cell]
O (0.058, 0.182, 0.576) [1 per cell]
O (0.081, 0.679, 0.049) [1 per cell]
O (0.177, 0.052, 0.202) [1 per cell]
O (0.216, 0.580, 0.689) [1 per cell]
O (0.321, 0.920, 0.815) [1 per cell]
O (0.329, 0.454, 0.306) [1 per cell]
O (0.426, 0.801, 0.447) [1 per cell]
O (0.448, 0.319, 0.917) [1 per cell]
O (0.535, 0.672, 0.056) [1 per cell]
O (0.594, 0.207, 0.561) [1 per cell]
O (0.682, 0.552, 0.697) [1 per cell]
O (0.683, 0.084, 0.187) [1 per cell]
O (0.805, 0.431, 0.319) [1 per cell]
O (0.829, 0.949, 0.790) [1 per cell]
O (0.903, 0.310, 0.929) [1 per cell]
O (0.952, 0.827, 0.424) [1 per cell]

[4]
For Li2Ti3FeO8, a cell relaxed with GGA+U gives the theoretical powder XRD pattern in this record (CuKα).

Peak list (10 most intense, 10° ≤ 2θ ≤ 90°, sorted by position)
two_theta	intensity
18.20	100
18.61	26
35.19	10
35.41	35
35.85	14
43.11	74
56.67	9
56.97	12
62.03	23
63.18	21

Structural model:
Unit cell a=5.9851 b=5.9851 c=14.3045 alpha=90.00 beta=90.00 gamma=120.00
Space group R-3m (No. 166, hexagonal axes)
One atom of each set of equivalent atoms:
Li (0.0000, 0.0000, 0.1204) [6 per cell]
Ti (0.0000, 0.5000, 0.0000) [9 per cell]
Fe (0.0000, 0.0000, 0.5000) [3 per cell]
O (0.0000, 0.0000, 0.2597) [6 per cell]
O (0.0302, 0.5151, 0.2587) [18 per cell]

[5]
For Sr3CaMn2FeO10, a cell relaxed with GGA+U gives the theoretical powder XRD pattern in this record (CuKα).

Peak list (10 most intense, 10° ≤ 2θ ≤ 90°, sorted by position)
two_theta	intensity
32.26	100
32.82	61
42.02	18
45.44	19
47.10	43
57.18	18
58.24	37
67.52	21
68.81	12
86.38	10

Structural model:
Unit cell a=3.859 b=3.859 c=27.942 alpha=90.00 beta=90.00 gamma=90.00
Space group I4mm (No. 107)
One atom of each set of equivalent atoms:
Sr (0.000, 0.000, 0.000) [2 per cell]
Sr (0.000, 0.000, 0.134) [2 per cell]
Sr (0.000, 0.000, 0.860) [2 per cell]
Ca (0.000, 0.000, 0.729) [2 per cell]
Mn (0.000, 0.000, 0.287) [2 per cell]
Mn (0.000, 0.000, 0.572) [2 per cell]
Fe (0.000, 0.000, 0.430) [2 per cell]
O (0.000, 0.000, 0.220) [2 per cell]
O (0.000, 0.000, 0.357) [2 per cell]
O (0.000, 0.000, 0.502) [2 per cell]
O (0.000, 0.000, 0.642) [2 per cell]
O (0.000, 0.500, 0.070) [4 per cell]
O (0.000, 0.500, 0.287) [4 per cell]
O (0.000, 0.500, 0.429) [4 per cell]

[6]
For Ba2AlV3O7, a cell relaxed with GGA+U gives the theoretical powder XRD pattern in this record (CuKα).

Peak list (10 most intense, 10° ≤ 2θ ≤ 90°, sorted by position)
two_theta	intensity
32.04	77
32.23	82
33.27	100
35.92	22
40.11	28
44.33	33
48.06	25
56.55	35
58.57	33
58.94	27

Structural model:
Unit cell a=3.786 b=4.086 c=11.483 alpha=90.00 beta=90.00 gamma=90.00
Space group Pmmm (No. 47)
One atom of each set of equivalent atoms:
Ba (0.000, 0.000, 0.180) [2 per cell]
Al (0.000, 0.000, 0.500) [1 per cell]
V (0.500, 0.500, 0.000) [1 per cell]
V (0.500, 0.500, 0.353) [2 per cell]
O (0.000, 0.500, 0.393) [2 per cell]
O (0.500, 0.000, 0.000) [1 per cell]
O (0.500, 0.000, 0.389) [2 per cell]
O (0.500, 0.500, 0.179) [2 per cell]